1.
Simulated X-ray powder pattern of Er2Cu5Si4 for Cu Kα X-rays, from a crystal structure in Alexandria, relaxed with GGA-PBE.
No peak broadening, texture or thermal motion is included.

The 10 most intense peaks (2θ from 10° to 80°), in order of falling intensity:
- d 3.288, 27.12°, intensity 100
- d 2.335, 38.56°, intensity 90
- d 2.301, 39.14°, intensity 83
- d 2.762, 32.41°, intensity 75
- d 2.141, 42.21°, intensity 57
- d 2.278, 39.56°, intensity 31
- d 1.394, 67.17°, intensity 23
- d 1.619, 56.87°, intensity 23
- d 2.605, 34.43°, intensity 21
- d 1.475, 63.00°, intensity 20

Structural model:
Lattice parameters (Å, degrees): 8.3083 7.4604 5.3060 79.24 61.90 38.86
Atoms (fractional coordinates):
Er 0.1462 0.1462 0.8538
Er 0.8538 0.8538 0.1462
Cu 0.0000 0.0000 0.5000
Cu 0.2500 0.2500 0.2500
Cu 0.5000 0.5000 0.0000
Cu 0.5000 0.5000 0.5000
Cu 0.7500 0.7500 0.7500
Si 0.2251 0.4987 0.5013
Si 0.4987 0.2251 0.7749
Si 0.5013 0.7749 0.2251
Si 0.7749 0.5013 0.4987

2.
Simulated X-ray powder pattern of Sm2Th2Pt3 for Cu Kα X-rays, from a crystal structure in Alexandria, relaxed with GGA-PBE.
No peak broadening, texture or thermal motion is included.

The 10 most intense peaks (2θ from 10° to 80°), in order of falling intensity:
- d 2.679, 33.45°, intensity 100
- d 2.327, 38.69°, intensity 87
- d 2.717, 32.97°, intensity 75
- d 2.058, 44.00°, intensity 66
- d 2.970, 30.09°, intensity 64
- d 3.105, 28.75°, intensity 49
- d 3.222, 27.68°, intensity 45
- d 2.585, 34.70°, intensity 43
- d 2.665, 33.62°, intensity 34
- d 2.886, 30.99°, intensity 33

Structural model:
Lattice parameters (Å, degrees): 9.3014 9.3014 12.9794 127.41 127.41 25.57
Atoms (fractional coordinates):
Sm 0.0206 0.0206 0.3525
Sm 0.2978 0.2978 0.2171
Sm 0.7022 0.7022 0.7829
Sm 0.9794 0.9794 0.6475
Th 0.3035 0.3035 0.6653
Th 0.4189 0.4189 0.0485
Th 0.5811 0.5811 0.9515
Th 0.6965 0.6965 0.3347
Pt 0.0772 0.0772 0.1429
Pt 0.1780 0.1780 0.9118
Pt 0.3452 0.3452 0.4814
Pt 0.6548 0.6548 0.5186
Pt 0.8220 0.8220 0.0882
Pt 0.9228 0.9228 0.8571

3.
Simulated X-ray powder pattern of K4Tb3CeSe8 for Cu Kα X-rays, from a crystal structure in Alexandria, relaxed with GGA-PBE.
No peak broadening, texture or thermal motion is included.

The 10 most intense peaks (2θ from 10° to 80°), in order of falling intensity:
- d 3.113, 28.67°, intensity 100
- d 7.685, 11.51°, intensity 54
- d 2.136, 42.32°, intensity 36
- d 2.274, 39.64°, intensity 34
- d 2.460, 36.53°, intensity 19
- d 1.761, 51.92°, intensity 18
- d 1.359, 69.13°, intensity 15
- d 2.058, 44.00°, intensity 13
- d 3.653, 24.37°, intensity 12
- d 1.824, 50.01°, intensity 11

Structural model:
Lattice parameters (Å, degrees): 9.1321 9.1321 9.1321 55.78 55.78 55.78
Atoms (fractional coordinates):
K 0.0000 0.0000 0.0000
K 0.0000 0.5000 0.5000
K 0.5000 0.0000 0.5000
K 0.5000 0.5000 0.0000
Tb 0.0000 0.0000 0.5000
Tb 0.0000 0.5000 0.0000
Tb 0.5000 0.0000 0.0000
Ce 0.5000 0.5000 0.5000
Se 0.2291 0.7390 0.7390
Se 0.2350 0.2350 0.2350
Se 0.2610 0.2610 0.7709
Se 0.2610 0.7709 0.2610
Se 0.7390 0.2291 0.7390
Se 0.7390 0.7390 0.2291
Se 0.7650 0.7650 0.7650
Se 0.7709 0.2610 0.2610

4.
Simulated X-ray powder pattern of Dy3Co2Hg for Cu Kα X-rays, from a crystal structure in Alexandria, relaxed with GGA-PBE.
No peak broadening, texture or thermal motion is included.

The 10 most intense peaks (2θ from 10° to 80°), in order of falling intensity:
- d 2.720, 32.93°, intensity 100
- d 2.296, 39.24°, intensity 74
- d 2.840, 31.50°, intensity 66
- d 2.768, 32.34°, intensity 47
- d 2.608, 34.38°, intensity 41
- d 1.950, 46.58°, intensity 40
- d 2.217, 40.70°, intensity 39
- d 2.973, 30.06°, intensity 35
- d 1.623, 56.71°, intensity 29
- d 2.926, 30.55°, intensity 27

Structural model:
Lattice parameters (Å, degrees): 3.8991 9.1875 7.5931 90.00 90.00 90.00
Atoms (fractional coordinates):
Dy 0.0000 0.0740 0.0000
Dy 0.0000 0.9260 0.5000
Dy 0.5000 0.2312 0.3763
Dy 0.5000 0.3657 0.8214
Dy 0.5000 0.6343 0.3214
Dy 0.5000 0.7688 0.8763
Co 0.0000 0.2029 0.6491
Co 0.0000 0.7971 0.1491
Co 0.5000 0.0731 0.7141
Co 0.5000 0.9269 0.2141
Hg 0.0000 0.4317 0.1277
Hg 0.0000 0.5683 0.6277

5.
Simulated X-ray powder pattern of Mn2VGe4 for Cu Kα X-rays, from a crystal structure in Alexandria, relaxed with GGA-PBE.
No peak broadening, texture or thermal motion is included.

The 10 most intense peaks (2θ from 10° to 80°), in order of falling intensity:
- d 2.350, 38.31°, intensity 100
- d 2.177, 41.48°, intensity 71
- d 2.922, 30.59°, intensity 61
- d 1.597, 57.73°, intensity 50
- d 6.142, 14.42°, intensity 36
- d 3.323, 26.83°, intensity 33
- d 1.661, 55.29°, intensity 33
- d 2.255, 39.98°, intensity 23
- d 1.444, 64.52°, intensity 15
- d 1.321, 71.42°, intensity 13

Structural model:
Lattice parameters (Å, degrees): 6.9830 6.9830 6.9830 140.68 140.68 56.83
Atoms (fractional coordinates):
Mn 0.1047 0.1047 0.0000
Mn 0.8953 0.8953 0.0000
V 0.5000 0.5000 0.0000
Ge 0.0000 0.5000 0.5000
Ge 0.3046 0.3046 0.0000
Ge 0.5000 0.0000 0.5000
Ge 0.6954 0.6954 0.0000

6.
Simulated X-ray powder pattern of Li2CdFeTc for Cu Kα X-rays, from a crystal structure in Alexandria, relaxed with GGA-PBE.
No peak broadening, texture or thermal motion is included.

The 10 most intense peaks (2θ from 10° to 80°), in order of falling intensity:
- d 3.137, 28.45°, intensity 100
- d 3.289, 27.11°, intensity 78
- d 1.931, 47.06°, intensity 48
- d 2.218, 40.67°, intensity 43
- d 1.644, 55.91°, intensity 33
- d 1.839, 49.57°, intensity 29
- d 2.450, 36.68°, intensity 29
- d 1.217, 78.57°, intensity 20
- d 4.437, 20.01°, intensity 18
- d 1.403, 66.66°, intensity 16

Structural model:
Lattice parameters (Å, degrees): 4.4366 4.4366 4.9001 90.00 90.00 90.00
Atoms (fractional coordinates):
Li 0.0000 0.5000 0.0000
Li 0.5000 0.0000 0.0000
Cd 0.0000 0.0000 0.0000
Fe 0.0000 0.0000 0.5000
Tc 0.5000 0.5000 0.5000

7.
Simulated X-ray powder pattern of SrCaEr for Cu Kα X-rays, from a crystal structure in Alexandria, relaxed with GGA-PBE.
No peak broadening, texture or thermal motion is included.

The 10 most intense peaks (2θ from 10° to 80°), in order of falling intensity:
- d 3.163, 28.21°, intensity 100
- d 2.747, 32.60°, intensity 42
- d 8.176, 10.82°, intensity 34
- d 1.655, 55.52°, intensity 30
- d 2.816, 31.78°, intensity 22
- d 1.942, 46.77°, intensity 15
- d 2.502, 35.89°, intensity 14
- d 1.935, 46.97°, intensity 12
- d 3.779, 23.54°, intensity 11
- d 2.231, 40.43°, intensity 9

Structural model:
Lattice parameters (Å, degrees): 3.8843 3.8843 16.3525 90.00 90.00 90.00
Atoms (fractional coordinates):
Sr 0.2500 0.2500 0.1006
Sr 0.7500 0.7500 0.8994
Ca 0.2500 0.2500 0.7128
Ca 0.7500 0.7500 0.2872
Er 0.2500 0.2500 0.4384
Er 0.7500 0.7500 0.5616

8.
Simulated X-ray powder pattern of Ho2BeWN5 for Cu Kα X-rays, from a crystal structure in Alexandria, relaxed with GGA-PBE.
No peak broadening, texture or thermal motion is included.

The 10 most intense peaks (2θ from 10° to 80°), in order of falling intensity:
- d 2.187, 41.27°, intensity 100
- d 2.867, 31.20°, intensity 85
- d 1.891, 48.13°, intensity 62
- d 2.783, 32.16°, intensity 56
- d 3.037, 29.41°, intensity 53
- d 3.898, 22.81°, intensity 46
- d 2.577, 34.82°, intensity 40
- d 2.486, 36.13°, intensity 38
- d 2.230, 40.45°, intensity 35
- d 6.884, 12.86°, intensity 33

Structural model:
Lattice parameters (Å, degrees): 7.0576 7.0576 9.4587 90.00 90.00 154.51
Atoms (fractional coordinates):
Ho 0.1114 0.8886 0.5000
Ho 0.1203 0.8797 0.1196
Ho 0.8797 0.1203 0.6196
Ho 0.8886 0.1114 0.0000
Be 0.4680 0.5320 0.2593
Be 0.5320 0.4680 0.7593
W 0.2085 0.7915 0.8120
W 0.7915 0.2085 0.3120
N 0.0450 0.9550 0.8135
N 0.3022 0.6978 0.4538
N 0.3033 0.6967 0.1680
N 0.3472 0.6528 0.8133
N 0.5002 0.4998 0.0837
N 0.4998 0.5002 0.5837
N 0.6528 0.3472 0.3133
N 0.6967 0.3033 0.6680
N 0.6978 0.3022 0.9538
N 0.9550 0.0450 0.3135

9.
Simulated X-ray powder pattern of La2TlZn5 for Cu Kα X-rays, from a crystal structure in Alexandria, relaxed with GGA-PBE.
No peak broadening, texture or thermal motion is included.

The 10 most intense peaks (2θ from 10° to 80°), in order of falling intensity:
- d 2.813, 31.81°, intensity 100
- d 3.188, 27.99°, intensity 60
- d 2.721, 32.92°, intensity 59
- d 2.290, 39.35°, intensity 54
- d 2.404, 37.41°, intensity 38
- d 3.316, 26.89°, intensity 27
- d 2.520, 35.62°, intensity 26
- d 1.658, 55.42°, intensity 24
- d 2.301, 39.15°, intensity 24
- d 2.076, 43.61°, intensity 23

Structural model:
Lattice parameters (Å, degrees): 8.7606 8.7606 9.2036 90.00 90.00 149.70
Atoms (fractional coordinates):
La 0.0000 0.0000 0.0000
La 0.0000 0.0000 0.5000
La 0.2091 0.7909 0.7500
La 0.7909 0.2091 0.2500
Tl 0.4426 0.5574 0.2500
Tl 0.5574 0.4426 0.7500
Zn 0.1840 0.8160 0.1085
Zn 0.1840 0.8160 0.3915
Zn 0.3433 0.6567 0.0137
Zn 0.3433 0.6567 0.4863
Zn 0.3970 0.6030 0.7500
Zn 0.6030 0.3970 0.2500
Zn 0.6567 0.3433 0.5137
Zn 0.6567 0.3433 0.9863
Zn 0.8160 0.1840 0.6085
Zn 0.8160 0.1840 0.8915